# Tm3InC
Calculated powder XRD pattern, Cu Ka. Input: a cell relaxed with GGA-PBE.
Lines closer than 0.1° are merged.

Cell and atoms:
```
data_Tm3InC
_symmetry_space_group_name_H-M 'P m -3 m'
_symmetry_Int_Tables_number 221
_symmetry_space_group_name_Hall '-P 4 2 3'
_cell_length_a 5.5066
_cell_length_b 5.5066
_cell_length_c 5.5066
_cell_angle_alpha 90.00
_cell_angle_beta 90.00
_cell_angle_gamma 90.00
loop_
_atom_site_label
_atom_site_fract_x
_atom_site_fract_y
_atom_site_fract_z
Tm1 0.0000 0.0000 0.5000
In1 0.0000 0.0000 0.0000
C1 0.5000 0.5000 0.5000
```

Most intense lines, 2θ from 10° to 90°, sorted by position:
- 2θ = 16.1°, I 100.0
- 2θ = 28.1°, I 75.6
- 2θ = 32.5°, I 98.0
- 2θ = 36.5°, I 54.3
- 2θ = 46.7°, I 71.6
- 2θ = 49.7°, I 28.4
- 2θ = 55.3°, I 34.7
- 2θ = 77.5°, I 31.9